For Tb4Mg3Co2, a structure optimized by DFT (PBE) gives the computed powder diffractogram in this record (Cu Kα X-rays).

Crystal structure
```
9
Lattice="7.4738 0.0000 0.0000 0.0000 3.7462 0.0000 -2.7649 0.0000 7.6940" Properties=species:S:1:pos:R:3 pbc="T T T"
Tb 0.0968 0.0000 1.7521
Tb 1.1016 0.0000 5.2222
Tb 3.6073 0.0000 2.4718
Tb 4.6121 0.0000 5.9420
Mg -1.3824 1.8731 3.8470
Mg 2.1737 1.8731 0.0154
Mg 2.5351 1.8731 7.6786
Co 1.5358 1.8731 3.0260
Co 3.1731 1.8731 4.6680
```

Main lines, by angle (2θ = 5–70°):
Position (°2θ), I/Imax
11.50, 41
13.89, 57
23.12, 48
23.75, 52
24.00, 50
31.34, 45
32.85, 37
33.39, 90
34.02, 100
39.70, 59

***

For Fe3Mo, a structure optimized by DFT (PBE) gives the computed powder diffractogram in this record (Cu Kα X-rays).

Crystal structure
```
8
Lattice="5.1290 0.0000 0.0000 -2.5645 4.4418 0.0000 0.0000 0.0000 4.1092" Properties=species:S:1:pos:R:3 pbc="T T T"
Fe 0.0000 1.4285 1.0273
Fe -1.3274 3.7276 1.0273
Fe 1.2371 0.7142 3.0819
Fe 1.3274 3.7276 1.0273
Fe 3.8919 0.7142 3.0819
Fe 2.5645 3.0134 3.0819
Mo 0.0000 2.9612 3.0819
Mo 2.5645 1.4806 1.0273
```

Main lines, by angle (2θ = 5–70°):
Position (°2θ), I/Imax
19.99, 1
29.62, 9
34.99, 3
40.62, 25
44.07, 26
46.48, 100
54.67, 1
57.47, 2
59.48, 1
61.48, 14

***

For K5La2, a structure optimized by DFT (PBE) gives the computed powder diffractogram in this record (Cu Kα X-rays).

Crystal structure
```
14
Lattice="10.0679 -3.5876 0.0000 10.0679 3.5876 0.0000 -3.9576 0.0000 12.0833" Properties=species:S:1:pos:R:3 pbc="T T T"
K 2.9381 1.9326 8.2105
K 7.0998 2.4432 9.0625
K 7.2491 1.3142 4.6265
K 10.9080 1.3142 1.4152
K 11.2614 1.9326 9.9145
K 4.9169 -1.9326 2.1688
K 5.2703 -1.3142 10.6681
K 8.9293 -1.3142 7.4568
K 9.0786 -2.4432 3.0208
K 13.2402 -1.9326 3.8728
La 6.4361 1.7054 0.3737
La 11.7210 1.7054 5.6680
La 4.4573 -1.7054 6.4153
La 9.7423 -1.7054 11.7096
```

Main lines, by angle (2θ = 5–70°):
Position (°2θ), I/Imax
9.24, 38
14.37, 64
14.68, 45
15.78, 32
24.50, 100
24.82, 41
25.37, 62
27.14, 27
28.96, 20
37.13, 22

***

For PbClF, a structure optimized by DFT (PBE) gives the computed powder diffractogram in this record (Cu Kα X-rays).

Crystal structure
```
6
Lattice="4.1560 0.0000 0.0000 0.0000 4.1560 0.0000 0.0000 0.0000 7.3371" Properties=species:S:1:pos:R:3 pbc="T T T"
Pb 1.0390 1.0390 1.5118
Pb 3.1170 3.1170 5.8253
Cl 1.0390 1.0390 4.7634
Cl 3.1170 3.1170 2.5737
F 1.0390 3.1170 0.0000
F 3.1170 1.0390 0.0000
```

Main lines, by angle (2θ = 5–70°):
Position (°2θ), I/Imax
24.26, 25
24.62, 100
30.42, 53
32.56, 37
39.28, 46
42.91, 19
43.55, 27
50.67, 31
54.70, 17
55.42, 16

***

For Fe11Mo6C5, a structure optimized by DFT (PBE) gives the computed powder diffractogram in this record (Cu Kα X-rays).

Crystal structure
```
22
Lattice="5.4936 -3.8271 0.0000 5.4936 3.8271 0.0000 -3.3517 0.0000 5.6409" Properties=species:S:1:pos:R:3 pbc="T T T"
Fe 0.0000 0.0000 0.0000
Fe 1.8310 2.5585 3.5347
Fe 2.2053 0.0000 1.1566
Fe 5.8046 2.5585 2.1062
Fe 3.8178 1.2625 2.8205
Fe 1.7827 0.0000 3.7424
Fe 5.8529 0.0000 1.8986
Fe 3.8178 -1.2625 2.8205
Fe 1.8310 -2.5585 3.5347
Fe 5.4303 0.0000 4.4843
Fe 5.8046 -2.5585 2.1062
Mo -1.0821 0.0000 4.0355
Mo 4.0910 1.5165 0.2229
Mo 3.5446 1.5165 5.4181
Mo 4.0910 -1.5165 0.2229
Mo 3.5446 -1.5165 5.4181
Mo 8.7177 0.0000 1.6054
C 2.2786 1.8496 1.7299
C 5.3570 1.8496 3.9111
C 5.4936 0.0000 0.0000
C 2.2786 -1.8496 1.7299
C 5.3570 -1.8496 3.9111
```

Main lines, by angle (2θ = 5–70°):
Position (°2θ), I/Imax
38.11, 29
39.70, 46
40.58, 32
41.05, 31
41.93, 39
42.39, 29
43.23, 100
43.59, 56
45.08, 34
45.55, 32

***

For Y4C5, a structure optimized by DFT (PBE) gives the computed powder diffractogram in this record (Cu Kα X-rays).

Crystal structure
```
18
Lattice="6.6063 0.0000 0.0000 0.0000 11.9959 0.0000 0.0000 0.0000 3.6834" Properties=species:S:1:pos:R:3 pbc="T T T"
Y 0.7055 2.3509 0.0000
Y 1.6081 11.4816 1.8417
Y 1.6951 5.4837 1.8417
Y 2.5977 8.3488 0.0000
Y 4.0086 3.6470 0.0000
Y 4.9113 6.5122 1.8417
Y 4.9983 0.5143 1.8417
Y 5.9009 9.6449 0.0000
C 0.0000 0.0000 0.0000
C 0.6441 7.8614 1.8417
C 0.9220 9.1638 1.8417
C 2.3812 3.1659 1.8417
C 2.6591 1.8635 1.8417
C 3.3032 5.9979 0.0000
C 3.9473 10.1323 1.8417
C 4.2252 8.8300 1.8417
C 5.6844 2.8320 1.8417
C 5.9623 4.1344 1.8417
```

Main lines, by angle (2θ = 5–70°):
Position (°2θ), I/Imax
28.44, 100
30.91, 38
31.56, 56
32.80, 78
35.82, 27
36.54, 41
37.33, 63
49.49, 27
54.00, 42
57.65, 39

***

For Rb2MgFe2S4, a structure optimized by DFT (PBE) gives the computed powder diffractogram in this record (Cu Kα X-rays).

Crystal structure
```
9
Lattice="6.3172 -3.5795 0.0000 6.3172 3.5795 0.0000 -2.7885 0.0000 5.4417" Properties=species:S:1:pos:R:3 pbc="T T T"
Rb 0.0000 0.0000 0.0000
Rb 5.8216 0.0000 3.0134
Mg 10.1024 0.0000 2.1067
Fe 1.9759 0.0000 2.8788
Fe 0.6901 0.0000 5.3872
S 2.6237 1.6853 1.3635
S -0.3870 0.0000 3.2529
S 2.9161 0.0000 4.9442
S 2.6237 -1.6853 1.3635
```

Main lines, by angle (2θ = 5–70°):
Position (°2θ), I/Imax
14.67, 72
24.56, 44
24.87, 100
25.15, 33
26.85, 57
27.52, 34
28.32, 40
33.08, 30
41.70, 63
42.43, 58

***

For BaSrGdNbO6, a structure optimized by DFT (PBE) gives the computed powder diffractogram in this record (Cu Kα X-rays).

Crystal structure
```
40
Lattice="8.4996 0.0000 0.0000 0.0000 8.5037 0.0000 0.0000 0.0000 8.5170" Properties=species:S:1:pos:R:3 pbc="T T T"
Ba 0.0000 0.0000 0.0000
Ba 0.0000 0.0000 4.2585
Ba 4.2498 0.0000 0.0000
Ba 4.2498 4.2518 4.2585
Sr 0.0000 4.2518 0.0000
Sr 0.0000 4.2518 4.2585
Sr 4.2498 0.0000 4.2585
Sr 4.2498 4.2518 0.0000
Gd 2.1319 2.1477 6.3865
Gd 2.1319 6.3560 2.1305
Gd 6.3677 2.1477 2.1305
Gd 6.3677 6.3560 6.3865
Nb 2.1208 2.1543 2.1362
Nb 2.1208 6.3493 6.3807
Nb 6.3788 2.1543 6.3807
Nb 6.3788 6.3493 2.1362
O 0.1261 1.9221 2.3431
O 0.1261 6.5816 6.1739
O 1.8398 4.1260 2.4723
O 1.8398 4.3777 6.0447
O 1.8442 2.4128 0.1310
O 1.8442 6.0908 8.3860
O 2.3168 0.1407 1.9079
O 2.3168 8.3630 6.6091
O 2.4537 1.8654 4.1212
O 2.4537 6.6383 4.3957
O 4.1093 2.4564 1.8322
O 4.1093 6.0473 6.6848
O 4.3902 2.4564 6.6848
O 4.3902 6.0473 1.8322
O 6.0459 1.8654 4.3957
O 6.0459 6.6383 4.1212
O 6.1828 0.1407 6.6091
O 6.1828 8.3630 1.9079
O 6.6554 2.4128 8.3860
O 6.6554 6.0908 0.1310
O 6.6598 4.1260 6.0447
O 6.6598 4.3777 2.4723
O 8.3735 1.9221 6.1739
O 8.3735 6.5816 2.3431
```

Main lines, by angle (2θ = 5–70°):
Position (°2θ), I/Imax
18.06, 3
20.88, 2
29.70, 100
34.98, 3
42.51, 29
46.54, 2
52.71, 43
61.68, 17
69.86, 6
69.98, 9

***

For ZrVNi, a structure optimized by DFT (PBE) gives the computed powder diffractogram in this record (Cu Kα X-rays).

Crystal structure
```
12
Lattice="8.3884 0.0000 0.0000 0.0000 2.5394 4.3220 0.0000 -2.5394 4.3220" Properties=species:S:1:pos:R:3 pbc="T T T"
Zr 1.5217 0.0000 0.0000
Zr 2.5697 0.0000 5.7369
Zr 5.8186 0.0000 5.7369
Zr 6.8666 0.0000 0.0000
V 0.0000 0.0000 4.1581
V 4.1942 0.0000 1.3174
V 4.1942 -1.2908 3.5671
V 4.1942 1.2908 3.5671
Ni 0.0000 -1.2524 6.3428
Ni 0.0000 1.2524 6.3428
Ni 2.0567 0.0000 2.8434
Ni 6.3317 0.0000 2.8434
```

Main lines, by angle (2θ = 5–70°):
Position (°2θ), I/Imax
35.35, 24
35.83, 55
38.19, 82
38.34, 47
41.57, 59
42.00, 100
42.68, 69
43.19, 49
65.85, 17
68.00, 22